Starting from a PBE-relaxed structure, the PXRD pattern of Ti3AgPd4 was simulated for Cu Kα (weighted mean of Kα1 and Kα2).

Atomic structure:
```
data_Ti3AgPd4
_chemical_formula_sum 'Ti6 Ag2 Pd8'
_symmetry_space_group_name_H-M 'P m m a'
_symmetry_Int_Tables_number 51
_cell_length_a 9.236
_cell_length_b 5.682
_cell_length_c 4.816
_cell_angle_alpha 90.00
_cell_angle_beta 90.00
_cell_angle_gamma 90.00
loop_
_symmetry_equiv_pos_as_xyz
'x,y,z'
'-x,-y,-z'
'-x+1/2,-y,z'
'x+1/2,y,-z'
'x+1/2,-y,-z'
'-x+1/2,y,z'
'-x,y,-z'
'x,-y,z'
loop_
_atom_site_label
_atom_site_fract_x
_atom_site_fract_y
_atom_site_fract_z
Ti1 0.000 0.000 0.000
Ti2 0.250 0.000 0.389
Ti3 0.250 0.500 0.365
Ag1 0.000 0.500 0.000
Pd1 0.000 0.246 0.500
Pd2 0.250 0.246 0.871
```

Most intense lines, 15 to 90 degrees two-theta, by angle:
2θ 38.05, I = 19; 2θ 38.64, I = 17; 2θ 39.01, I = 41; 2θ 41.78, I = 100; 2θ 42.33, I = 21; 2θ 72.55, I = 19